Record 1
For Mn5Si2, DFT lattice parameters and positions (PBE) gives the theoretical powder diffraction line list in this record (Cu Kα (λ = 1.5418 Å)).
Kinematic intensities with the Lorentz-polarization factor, no thermal factor.

Structural model:
```
data_Mn5Si2
_chemical_formula_sum 'Mn40 Si16'
_cell_length_a 8.723
_cell_length_b 8.723
_cell_length_c 8.522
_cell_angle_alpha 90.00
_cell_angle_beta 90.00
_cell_angle_gamma 90.00
_symmetry_space_group_name_H-M 'P 1'
_symmetry_Int_Tables_number 1
_symmetry_space_group_name_Hall 'P 1'
loop_
_atom_site_label
_atom_site_type_symbol
_atom_site_fract_x
_atom_site_fract_y
_atom_site_fract_z
Mn1 Mn 0.007 0.398 0.428
Mn2 Mn 0.043 0.869 0.964
Mn3 Mn 0.045 0.955 0.250
Mn4 Mn 0.078 0.684 0.419
Mn5 Mn 0.102 0.507 0.678
Mn6 Mn 0.131 0.957 0.536
Mn7 Mn 0.135 0.135 0.000
Mn8 Mn 0.174 0.222 0.654
Mn9 Mn 0.184 0.422 0.169
Mn10 Mn 0.222 0.174 0.346
Mn11 Mn 0.278 0.674 0.904
Mn12 Mn 0.316 0.922 0.081
Mn13 Mn 0.326 0.722 0.596
Mn14 Mn 0.365 0.635 0.250
Mn15 Mn 0.369 0.457 0.714
Mn16 Mn 0.398 0.007 0.572
Mn17 Mn 0.422 0.184 0.831
Mn18 Mn 0.455 0.455 0.000
Mn19 Mn 0.457 0.369 0.286
Mn20 Mn 0.493 0.898 0.822
Mn21 Mn 0.507 0.102 0.322
Mn22 Mn 0.543 0.631 0.786
Mn23 Mn 0.545 0.545 0.500
Mn24 Mn 0.578 0.816 0.331
Mn25 Mn 0.602 0.993 0.072
Mn26 Mn 0.631 0.543 0.214
Mn27 Mn 0.635 0.365 0.750
Mn28 Mn 0.674 0.278 0.096
Mn29 Mn 0.684 0.078 0.581
Mn30 Mn 0.722 0.326 0.404
Mn31 Mn 0.778 0.826 0.846
Mn32 Mn 0.816 0.578 0.669
Mn33 Mn 0.826 0.778 0.154
Mn34 Mn 0.865 0.865 0.500
Mn35 Mn 0.869 0.043 0.036
Mn36 Mn 0.898 0.493 0.178
Mn37 Mn 0.922 0.316 0.919
Mn38 Mn 0.955 0.045 0.750
Mn39 Mn 0.957 0.131 0.464
Mn40 Mn 0.993 0.602 0.928
Si1 Si 0.035 0.764 0.701
Si2 Si 0.119 0.695 0.150
Si3 Si 0.195 0.381 0.900
Si4 Si 0.236 0.965 0.799
Si5 Si 0.264 0.465 0.451
Si6 Si 0.305 0.881 0.350
Si7 Si 0.381 0.195 0.100
Si8 Si 0.465 0.264 0.549
Si9 Si 0.535 0.736 0.049
Si10 Si 0.619 0.805 0.600
Si11 Si 0.695 0.119 0.850
Si12 Si 0.736 0.535 0.951
Si13 Si 0.764 0.035 0.299
Si14 Si 0.805 0.619 0.400
Si15 Si 0.881 0.305 0.650
Si16 Si 0.965 0.236 0.201
```

Peak list (8 most intense, 15° ≤ 2θ ≤ 90°, by angle)
d_spacing	Position (°2θ)	intensity
2.116	42.74	76
2.070	43.74	56
2.053	44.10	96
1.999	45.38	100
1.979	45.86	80
1.941	46.80	33
1.895	48.01	51
1.842	49.49	62



Record 2
For Mn5Si, DFT lattice parameters and positions (PBE) gives the theoretical powder diffraction line list in this record (Cu Kα (λ = 1.5418 Å)).
Kinematic intensities with the Lorentz-polarization factor, no thermal factor.

Structural model:
```
data_Mn5Si
_chemical_formula_sum 'Mn5 Si1'
_cell_length_a 4.639
_cell_length_b 4.639
_cell_length_c 5.569
_cell_angle_alpha 107.34
_cell_angle_beta 107.34
_cell_angle_gamma 35.39
_symmetry_space_group_name_H-M 'P 1'
_symmetry_Int_Tables_number 1
_symmetry_space_group_name_Hall 'P 1'
loop_
_atom_site_label
_atom_site_type_symbol
_atom_site_fract_x
_atom_site_fract_y
_atom_site_fract_z
Mn1 Mn 0.000 0.000 0.000
Mn2 Mn 0.330 0.330 0.170
Mn3 Mn 0.335 0.335 0.660
Mn4 Mn 0.665 0.665 0.340
Mn5 Mn 0.670 0.670 0.830
Si1 Si 0.000 0.000 0.500
```

Peak list (8 most intense, 15° ≤ 2θ ≤ 90°, by angle)
d_spacing	Position (°2θ)	intensity
1.986	45.68	100
1.981	45.80	99
1.976	45.93	49
1.972	46.04	48
1.410	66.31	15
1.399	66.87	14
1.148	84.41	15
1.141	84.97	28



Record 3
For Mn7Si, DFT lattice parameters and positions (PBE) gives the theoretical powder diffraction line list in this record (Cu Kα (λ = 1.5418 Å)).
Kinematic intensities with the Lorentz-polarization factor, no thermal factor.

Structural model:
```
data_Mn7Si
_chemical_formula_sum 'Mn7 Si1'
_cell_length_a 5.056
_cell_length_b 5.056
_cell_length_c 5.056
_cell_angle_alpha 60.00
_cell_angle_beta 60.00
_cell_angle_gamma 60.00
_symmetry_space_group_name_H-M 'P 1'
_symmetry_Int_Tables_number 1
_symmetry_space_group_name_Hall 'P 1'
loop_
_atom_site_label
_atom_site_type_symbol
_atom_site_fract_x
_atom_site_fract_y
_atom_site_fract_z
Mn1 Mn 0.000 0.000 0.000
Mn2 Mn 0.000 0.000 0.500
Mn3 Mn 0.000 0.500 0.000
Mn4 Mn 0.000 0.500 0.500
Mn5 Mn 0.500 0.000 0.000
Mn6 Mn 0.500 0.000 0.500
Mn7 Mn 0.500 0.500 0.000
Si1 Si 0.500 0.500 0.500
```

Peak list (8 most intense, 15° ≤ 2θ ≤ 90°, by angle)
d_spacing	Position (°2θ)	intensity
4.129	21.52	3
3.575	24.90	2
2.528	35.51	1
2.156	41.90	1
2.064	43.86	100
1.788	51.09	46
1.641	56.06	1
1.264	75.16	26



Record 4
For SmMn5Si3, DFT lattice parameters and positions (PBE) gives the theoretical powder diffraction line list in this record (Cu Kα (λ = 1.5418 Å)).
Kinematic intensities with the Lorentz-polarization factor, no thermal factor.

Structural model:
```
data_SmMn5Si3
_chemical_formula_sum 'Sm2 Mn10 Si6'
_cell_length_a 6.380
_cell_length_b 6.380
_cell_length_c 11.217
_cell_angle_alpha 90.00
_cell_angle_beta 90.00
_cell_angle_gamma 144.95
_symmetry_space_group_name_H-M 'P 1'
_symmetry_Int_Tables_number 1
_symmetry_space_group_name_Hall 'P 1'
loop_
_atom_site_label
_atom_site_type_symbol
_atom_site_fract_x
_atom_site_fract_y
_atom_site_fract_z
Sm1 Sm 0.167 0.833 0.750
Sm2 Sm 0.833 0.167 0.250
Mn1 Mn 0.000 0.000 0.000
Mn2 Mn 0.000 0.000 0.500
Mn3 Mn 0.192 0.808 0.056
Mn4 Mn 0.192 0.808 0.444
Mn5 Mn 0.443 0.557 0.648
Mn6 Mn 0.443 0.557 0.852
Mn7 Mn 0.557 0.443 0.148
Mn8 Mn 0.557 0.443 0.352
Mn9 Mn 0.808 0.192 0.556
Mn10 Mn 0.808 0.192 0.944
Si1 Si 0.121 0.879 0.250
Si2 Si 0.382 0.618 0.053
Si3 Si 0.382 0.618 0.447
Si4 Si 0.618 0.382 0.553
Si5 Si 0.618 0.382 0.947
Si6 Si 0.879 0.121 0.750
```

Peak list (8 most intense, 15° ≤ 2θ ≤ 90°, by angle)
d_spacing	Position (°2θ)	intensity
3.483	25.58	37
2.936	30.45	46
2.789	32.09	66
2.617	34.27	100
2.497	35.96	66
2.227	40.51	71
2.056	44.05	42
1.921	47.32	53